(1)
Diffraction record for Cr4OF11. The powder X-ray diffraction pattern is theoretical, not measured: it uses a PBE+U-relaxed structure and Cu Kα (weighted mean of Kα1 and Kα2).
Intensities are scaled so that the largest is 100.

Crystal structure
```
data_Cr4OF11
_chemical_formula_sum 'Cr8 O2 F22'
_symmetry_space_group_name_H-M 'P -1'
_symmetry_Int_Tables_number 2
_cell_length_a 5.0649
_cell_length_b 5.3336
_cell_length_c 16.9060
_cell_angle_alpha 88.97
_cell_angle_beta 82.04
_cell_angle_gamma 62.08
loop_
_symmetry_equiv_pos_as_xyz
'x,y,z'
'-x,-y,-z'
loop_
_atom_site_label
_atom_site_fract_x
_atom_site_fract_y
_atom_site_fract_z
Cr1 0.0000 0.0000 0.0000
Cr2 0.0000 0.5000 0.5000
Cr3 0.2519 0.3783 0.1254
Cr4 0.2579 0.8849 0.6277
Cr5 0.4938 0.2399 0.7460
O1 0.4363 0.0927 0.6569
F1 0.0052 0.6873 0.0624
F2 0.0074 0.1863 0.5631
F3 0.0641 0.1581 0.0935
F4 0.0647 0.4666 0.7820
F5 0.0669 0.9667 0.2818
F6 0.0689 0.6618 0.5926
F7 0.4352 0.2839 0.4664
F8 0.4360 0.5962 0.1599
F9 0.4356 0.7826 0.9676
F10 0.4933 0.5620 0.6880
F11 0.4982 0.0628 0.1875
```

The 6 most intense peaks (10 to 90 degrees two-theta), low angle first:
2θ 24.09, intensity 100, (1 0 -2)
2θ 24.44, intensity 49, (1 1 3)
2θ 33.70, intensity 21, (0 1 5)
2θ 40.74, intensity 24, (2 0 0)
2θ 49.34, intensity 18, (0 2 -6)
2θ 54.47, intensity 14, (1 -2 4)

(2)
Diffraction record for Cr4OF11. The powder X-ray diffraction pattern is theoretical, not measured: it uses a PBE+U-relaxed structure and Cu Kα (weighted mean of Kα1 and Kα2).
Intensities are scaled so that the largest is 100.

Crystal structure
```
data_Cr4OF11
_chemical_formula_sum 'Cr4 O1 F11'
_symmetry_space_group_name_H-M 'P 1 2 1'
_symmetry_Int_Tables_number 3
_cell_length_a 5.3721
_cell_length_b 5.1018
_cell_length_c 7.3002
_cell_angle_alpha 90.00
_cell_angle_beta 94.22
_cell_angle_gamma 90.00
loop_
_symmetry_equiv_pos_as_xyz
'x,y,z'
'-x,y,-z'
loop_
_atom_site_label
_atom_site_fract_x
_atom_site_fract_y
_atom_site_fract_z
Cr1 0.0000 0.0000 0.2395
Cr2 0.5003 0.4964 0.2503
O1 0.0000 0.1180 0.0000
F1 0.0000 0.8901 0.5000
F2 0.1914 0.3053 0.6912
F3 0.1907 0.6871 0.1897
F4 0.3089 0.1878 0.3097
F5 0.3088 0.8053 0.8111
F6 0.5000 0.3684 0.0000
F7 0.5000 0.6221 0.5000
```

The 6 most intense peaks (10 to 90 degrees two-theta), low angle first:
2θ 24.09, intensity 100, (1 1 0)
2θ 24.45, intensity 49, (0 0 2)
2θ 33.68, intensity 21, (1 1 -2)
2θ 40.74, intensity 24, (2 1 1)
2θ 49.33, intensity 18, (2 2 0)
2θ 54.55, intensity 14, (2 2 -2)